The following is a theoretical powder diffractogram of Pm2SnGePt6. It was derived from the GGA-PBE geometry in Alexandria, using Cu Kα X-rays.
Kinematic intensities with the Lorentz-polarization factor, no thermal factor.

Principal peaks in the range 10 to 80 degrees two-theta, low angle first:
hkl 0 1 1, 2θ = 20.27°, I 34; hkl 0 0 2, 2θ = 28.31°, I 76; hkl 0 2 0, 2θ = 29.62°, I 29; hkl 2 0 0, 2θ = 38.63°, I 76; hkl 2 0 2, 2θ = 38.73°, I 100; hkl 1 1 3, 2θ = 39.94°, I 40; hkl 1 3 1, 2θ = 41.42°, I 35; hkl 0 2 -2, 2θ = 41.61°, I 78; hkl 2 1 3, 2θ = 43.64°, I 35; hkl 2 3 1, 2θ = 44.56°, I 29

Structure:
```
10
Lattice="5.5064 0.0000 0.0000 2.7521 6.0324 0.0000 2.7525 0.0581 6.3086" Properties=species:S:1:pos:R:3 pbc="T T T"
Pm 1.3775 1.3131 1.3657
Pm 9.6336 4.7774 4.9429
Sn 4.1293 3.0162 0.0000
Ge 4.1295 0.0291 3.1543
Pt 2.7603 1.4057 4.7633
Pt 4.1352 2.4732 2.5934
Pt 5.5193 4.6872 1.5366
Pt 5.4918 1.4033 4.7720
Pt 6.8759 3.6173 3.7152
Pt 8.2508 4.6848 1.5453
```